No. 1
The following is a computed X-ray powder pattern of Hg3Au. It was derived from a structure optimized by DFT (PBE), using Cu Kα, 1.54184 Å.
Lines closer than 0.1° are merged.

Largest 10 diffraction maxima, in order of rising 2θ, 10° ≤ 2θ ≤ 80°:
d (Å), I/Imax
2.906, 32
2.645, 23
2.407, 100
2.184, 5
1.956, 16
1.746, 7
1.563, 19
1.527, 17
1.352, 19
1.289, 14

Cell and atoms:
Cell lengths 3.0536, 3.0536, 11.6252 Å; angles 90.00, 90.00, 120.00 degrees
Fractional coordinates of all 4 atoms:
Hg1 0.0000 0.0000 0.0000
Hg2 0.3333 0.6667 0.2743
Hg3 0.3333 0.6667 0.7257
Au1 0.0000 0.0000 0.5000



No. 2
The following is a computed X-ray powder pattern of Hg5Au4. It was derived from a structure optimized by DFT (PBE), using Cu Kα, 1.54184 Å.
Lines closer than 0.1° are merged.

Largest 9 diffraction maxima, in order of rising 2θ, 10° ≤ 2θ ≤ 80°:
d (Å), I/Imax
2.522, 100
2.219, 35
2.121, 15
1.616, 1
1.569, 12
1.533, 22
1.332, 27
1.289, 13
1.261, 12

Cell and atoms:
Cell lengths 6.9858, 6.9858, 6.9858 Å; angles 95.29, 95.29, 144.66 degrees
Fractional coordinates of all 9 atoms:
Hg1 0.0000 0.0000 0.0000
Hg2 0.3306 0.3306 0.6613
Hg3 0.3306 0.6694 0.0000
Hg4 0.6694 0.3306 0.0000
Hg5 0.6694 0.6694 0.3387
Au1 0.0000 0.3427 0.3427
Au2 0.0000 0.6573 0.6573
Au3 0.3427 0.0000 0.3427
Au4 0.6573 0.0000 0.6573



No. 3
The following is a computed X-ray powder pattern of HgAu5. It was derived from a structure optimized by DFT (PBE), using Cu Kα, 1.54184 Å.
Lines closer than 0.1° are merged.

Largest 10 diffraction maxima, in order of rising 2θ, 10° ≤ 2θ ≤ 80°:
d (Å), I/Imax
4.841, 17
2.795, 19
2.420, 29
2.401, 100
2.345, 35
2.151, 40
1.684, 19
1.526, 25
1.397, 21
1.200, 26

Cell and atoms:
Cell lengths 5.5895, 5.5895, 4.6891 Å; angles 90.00, 90.00, 120.00 degrees
Fractional coordinates of all 6 atoms:
Hg1 0.0000 0.0000 0.0000
Au1 0.0000 0.5000 0.5000
Au2 0.3333 0.6667 0.0000
Au3 0.5000 0.0000 0.5000
Au4 0.5000 0.5000 0.5000
Au5 0.6667 0.3333 0.0000



No. 4
The following is a computed X-ray powder pattern of HgAu3. It was derived from a structure optimized by DFT (PBE), using Cu Kα, 1.54184 Å.
Lines closer than 0.1° are merged.

Largest 10 diffraction maxima, in order of rising 2θ, 10° ≤ 2θ ≤ 80°:
d (Å), I/Imax
2.580, 23
2.462, 27
2.286, 100
1.781, 16
1.490, 18
1.385, 21
1.290, 3
1.275, 21
1.248, 15
1.231, 3

Cell and atoms:
Cell lengths 5.9586, 5.9586, 4.9250 Å; angles 90.00, 90.00, 120.00 degrees
Fractional coordinates of all 8 atoms:
Hg1 0.3333 0.6667 0.2500
Hg2 0.6667 0.3333 0.7500
Au1 0.1650 0.3300 0.7500
Au2 0.1650 0.8350 0.7500
Au3 0.3300 0.1650 0.2500
Au4 0.6700 0.8350 0.7500
Au5 0.8350 0.1650 0.2500
Au6 0.8350 0.6700 0.2500



No. 5
The following is a computed X-ray powder pattern of HgAu3. It was derived from a structure optimized by DFT (PBE), using Cu Kα, 1.54184 Å.
Lines closer than 0.1° are merged.

Largest 10 diffraction maxima, in order of rising 2θ, 10° ≤ 2θ ≤ 80°:
d (Å), I/Imax
2.704, 27
2.516, 53
2.417, 67
2.334, 57
2.280, 100
2.092, 15
2.001, 26
1.587, 25
1.337, 18
1.312, 26

Cell and atoms:
Cell lengths 5.6509, 9.3347, 5.8938 Å; angles 90.00, 90.00, 90.00 degrees
Fractional coordinates of all 16 atoms:
Hg1 0.0597 0.2500 0.1016
Hg2 0.4403 0.7500 0.6016
Hg3 0.5597 0.2500 0.3984
Hg4 0.9403 0.7500 0.8984
Au1 0.0923 0.2500 0.6104
Au2 0.2134 0.5041 0.3496
Au3 0.2134 0.9959 0.3496
Au4 0.2866 0.0041 0.8496
Au5 0.2866 0.4959 0.8496
Au6 0.4077 0.7500 0.1104
Au7 0.5923 0.2500 0.8896
Au8 0.7134 0.5041 0.1504
Au9 0.7134 0.9959 0.1504
Au10 0.7866 0.0041 0.6504
Au11 0.7866 0.4959 0.6504
Au12 0.9077 0.7500 0.3896



No. 6
The following is a computed X-ray powder pattern of Hg15Au. It was derived from a structure optimized by DFT (PBE), using Cu Kα, 1.54184 Å.
Lines closer than 0.1° are merged.

Largest 10 diffraction maxima, in order of rising 2θ, 10° ≤ 2θ ≤ 80°:
d (Å), I/Imax
3.197, 28
2.644, 100
2.350, 16
1.894, 12
1.846, 23
1.599, 4
1.514, 17
1.452, 19
1.407, 12
1.322, 3

Cell and atoms:
Cell lengths 7.3839, 7.3839, 9.4001 Å; angles 90.00, 90.00, 120.00 degrees
Fractional coordinates of all 16 atoms:
Hg1 0.0000 0.0000 0.0000
Hg2 0.0191 0.5096 0.5000
Hg3 0.3145 0.1573 0.2645
Hg4 0.3145 0.1573 0.7355
Hg5 0.3333 0.6667 0.2292
Hg6 0.3333 0.6667 0.7708
Hg7 0.4904 0.5096 0.5000
Hg8 0.4904 0.9809 0.5000
Hg9 0.5147 0.0293 0.0000
Hg10 0.5147 0.4853 0.0000
Hg11 0.8427 0.1573 0.2645
Hg12 0.8427 0.1573 0.7355
Hg13 0.8427 0.6855 0.2645
Hg14 0.8427 0.6855 0.7355
Hg15 0.9707 0.4853 0.0000
Au1 0.0000 0.0000 0.5000



No. 7
The following is a computed X-ray powder pattern of HgAu. It was derived from a structure optimized by DFT (PBE), using Cu Kα, 1.54184 Å.
Lines closer than 0.1° are merged.

Largest 10 diffraction maxima, in order of rising 2θ, 10° ≤ 2θ ≤ 80°:
d (Å), I/Imax
6.093, 100
4.309, 32
3.047, 26
2.725, 32
2.488, 20
2.303, 74
2.031, 51
1.690, 14
1.398, 30
1.219, 18

Cell and atoms:
Cell lengths 7.4627, 7.4627, 7.4627 Å; angles 109.47, 109.47, 109.47 degrees
Fractional coordinates of all 8 atoms:
Hg1 0.0000 0.0000 0.4083
Hg2 0.0000 0.4083 0.0000
Hg3 0.4083 0.0000 0.0000
Hg4 0.5917 0.5917 0.5917
Au1 0.0000 0.0000 0.7665
Au2 0.0000 0.7665 0.0000
Au3 0.2335 0.2335 0.2335
Au4 0.7665 0.0000 0.0000



No. 8
The following is a computed X-ray powder pattern of HgAu6. It was derived from a structure optimized by DFT (PBE), using Cu Kα, 1.54184 Å.
Lines closer than 0.1° are merged.

Largest 10 diffraction maxima, in order of rising 2θ, 10° ≤ 2θ ≤ 80°:
d (Å), I/Imax
2.371, 100
2.363, 95
2.086, 3
1.888, 1
1.674, 33
1.432, 1
1.368, 52
1.363, 14
1.336, 1
1.250, 1

Cell and atoms:
Cell lengths 7.3087, 7.3087, 7.3087 Å; angles 118.29, 118.29, 118.29 degrees
Fractional coordinates of all 7 atoms:
Hg1 0.0000 0.0000 0.0000
Au1 0.1843 0.6187 0.3215
Au2 0.3215 0.1843 0.6187
Au3 0.3813 0.6785 0.8157
Au4 0.6187 0.3215 0.1843
Au5 0.6785 0.8157 0.3813
Au6 0.8157 0.3813 0.6785



No. 9
The following is a computed X-ray powder pattern of HgAu8. It was derived from a structure optimized by DFT (PBE), using Cu Kα, 1.54184 Å.
Lines closer than 0.1° are merged.

Largest 8 diffraction maxima, in order of rising 2θ, 10° ≤ 2θ ≤ 80°:
d (Å), I/Imax
2.423, 100
2.102, 33
2.092, 16
1.486, 11
1.483, 22
1.267, 27
1.262, 13
1.212, 12

Cell and atoms:
Cell lengths 6.6433, 6.6433, 6.6433 Å; angles 95.69, 95.69, 143.30 degrees
Fractional coordinates of all 9 atoms:
Hg1 0.0000 0.0000 0.0000
Au1 0.0000 0.3351 0.3351
Au2 0.0000 0.6649 0.6649
Au3 0.3317 0.3317 0.6633
Au4 0.3317 0.6683 0.0000
Au5 0.3351 0.0000 0.3351
Au6 0.6649 0.0000 0.6649
Au7 0.6683 0.3317 0.0000
Au8 0.6683 0.6683 0.3367



No. 10
The following is a computed X-ray powder pattern of Hg3Au4. It was derived from a structure optimized by DFT (PBE), using Cu Kα, 1.54184 Å.
Lines closer than 0.1° are merged.

Largest 8 diffraction maxima, in order of rising 2θ, 10° ≤ 2θ ≤ 80°:
d (Å), I/Imax
2.626, 72
2.309, 100
1.951, 1
1.857, 27
1.474, 6
1.447, 47
1.313, 9
1.285, 15

Cell and atoms:
Cell lengths 10.6447, 10.6447, 10.6447 Å; angles 159.90, 159.90, 28.57 degrees
Fractional coordinates of all 7 atoms:
Hg1 0.0000 0.0000 0.0000
Hg2 0.2894 0.2894 0.0000
Hg3 0.7106 0.7106 0.0000
Au1 0.1394 0.1394 0.0000
Au2 0.4294 0.4294 0.0000
Au3 0.5706 0.5706 0.0000
Au4 0.8606 0.8606 0.0000



No. 11
The following is a computed X-ray powder pattern of Hg2Au. It was derived from a structure optimized by DFT (PBE), using Cu Kα, 1.54184 Å.
Lines closer than 0.1° are merged.

Largest 10 diffraction maxima, in order of rising 2θ, 10° ≤ 2θ ≤ 80°:
d (Å), I/Imax
2.759, 100
2.521, 12
2.416, 38
2.255, 50
2.179, 29
1.650, 10
1.591, 19
1.496, 20
1.434, 23
1.287, 14

Cell and atoms:
Cell lengths 5.7447, 5.7447, 5.7447 Å; angles 103.27, 103.27, 122.74 degrees
Fractional coordinates of all 6 atoms:
Hg1 0.1529 0.6529 0.8058
Hg2 0.3471 0.1529 0.5000
Hg3 0.6529 0.8471 0.5000
Hg4 0.8471 0.3471 0.1942
Au1 0.2500 0.2500 0.0000
Au2 0.7500 0.7500 0.0000



No. 12
The following is a computed X-ray powder pattern of Hg2Au17. It was derived from a structure optimized by DFT (PBE), using Cu Kα, 1.54184 Å.
Lines closer than 0.1° are merged.

Largest 10 diffraction maxima, in order of rising 2θ, 10° ≤ 2θ ≤ 80°:
d (Å), I/Imax
2.824, 35
2.445, 49
2.413, 100
2.322, 32
2.164, 77
2.099, 29
1.538, 25
1.412, 32
1.357, 24
1.206, 25

Cell and atoms:
Cell lengths 7.3110, 7.3110, 7.3110 Å; angles 83.97, 83.97, 83.97 degrees
Fractional coordinates of all 19 atoms:
Hg1 0.1782 0.1782 0.1782
Hg2 0.8218 0.8218 0.8218
Au1 0.0000 0.5000 0.5000
Au2 0.1609 0.5000 0.8391
Au3 0.1609 0.8391 0.5000
Au4 0.1686 0.1686 0.6721
Au5 0.1686 0.6721 0.1686
Au6 0.3279 0.8314 0.8314
Au7 0.3998 0.3998 0.3998
Au8 0.5000 0.0000 0.5000
Au9 0.5000 0.1609 0.8391
Au10 0.5000 0.5000 0.0000
Au11 0.5000 0.8391 0.1609
Au12 0.6002 0.6002 0.6002
Au13 0.6721 0.1686 0.1686
Au14 0.8314 0.3279 0.8314
Au15 0.8314 0.8314 0.3279
Au16 0.8391 0.1609 0.5000
Au17 0.8391 0.5000 0.1609



No. 13
The following is a computed X-ray powder pattern of HgAu3. It was derived from a structure optimized by DFT (PBE), using Cu Kα, 1.54184 Å.
Lines closer than 0.1° are merged.

Largest 10 diffraction maxima, in order of rising 2θ, 10° ≤ 2θ ≤ 80°:
d (Å), I/Imax
2.630, 24
2.416, 25
2.310, 100
1.779, 15
1.518, 18
1.373, 19
1.315, 3
1.285, 21
1.269, 15
1.208, 3

Cell and atoms:
Cell lengths 3.0363, 3.0363, 9.6626 Å; angles 90.00, 90.00, 120.00 degrees
Fractional coordinates of all 4 atoms:
Hg1 0.0000 0.0000 0.0000
Au1 0.0000 0.0000 0.5000
Au2 0.6667 0.3333 0.2585
Au3 0.6667 0.3333 0.7415



No. 14
The following is a computed X-ray powder pattern of HgAu6. It was derived from a structure optimized by DFT (PBE), using Cu Kα, 1.54184 Å.
Lines closer than 0.1° are merged.

Largest 10 diffraction maxima, in order of rising 2θ, 10° ≤ 2θ ≤ 80°:
d (Å), I/Imax
8.246, 4
4.123, 6
3.688, 6
2.916, 5
2.749, 10
2.381, 100
2.062, 49
1.458, 32
1.435, 4
1.243, 37

Cell and atoms:
Cell lengths 4.1234, 4.1234, 8.2456 Å; angles 90.00, 90.00, 90.00 degrees
Fractional coordinates of all 7 atoms:
Hg1 0.0000 0.0000 0.0000
Au1 0.0000 0.0000 0.5000
Au2 0.0000 0.5000 0.2662
Au3 0.0000 0.5000 0.7338
Au4 0.5000 0.0000 0.2662
Au5 0.5000 0.0000 0.7338
Au6 0.5000 0.5000 0.0000